Simulated X-ray powder pattern
Compound: SmHoSn2Os2
Radiation: a wavelength of 1.5418 Å
Structure: a structure optimized by DFT (GGA-PBE)
Lines closer than 0.1° are merged.

Structural model:
```
SmHoSn2Os2
1.0
4.5244 0.0000 0.0000
0.0000 4.5244 0.0000
0.0000 0.0000 6.8507
Sm Ho Sn Os
1 1 2 2
Direct
0.0000 0.0000 0.0000
0.5000 0.5000 0.5726
0.0000 0.0000 0.5184
0.5000 0.5000 0.0690
0.0000 0.5000 0.2946
0.5000 0.0000 0.2946
```

The 10 most intense peaks (10° ≤ 2θ ≤ 90°), sorted by position:
- d 6.851, 2θ = 12.92°, rel. 51
- d 2.899, 2θ = 30.85°, rel. 38
- d 2.731, 2θ = 32.79°, rel. 9
- d 2.338, 2θ = 38.50°, rel. 100
- d 2.262, 2θ = 39.85°, rel. 50
- d 2.148, 2θ = 42.06°, rel. 12
- d 1.600, 2θ = 57.60°, rel. 23
- d 1.365, 2θ = 68.75°, rel. 14
- d 1.320, 2θ = 71.46°, rel. 33
- d 1.169, 2θ = 82.52°, rel. 9

=====

Simulated X-ray powder pattern
Compound: ErAlAg2O4
Radiation: a wavelength of 1.5418 Å
Structure: a structure optimized by DFT (GGA-PBE)
Lines closer than 0.1° are merged.

Structural model:
```
ErAlAg2O4
1.0
3.1595 0.0000 0.0000
-1.5798 2.7362 0.0000
0.0000 0.0000 12.5278
Er Al Ag O
1 1 2 4
Direct
0.0000 0.0000 0.0000
0.0000 0.0000 0.5000
0.3333 0.6667 0.2616
0.6667 0.3333 0.7384
0.3333 0.6667 0.0952
0.3333 0.6667 0.4294
0.6667 0.3333 0.5706
0.6667 0.3333 0.9048
```

The 10 most intense peaks (10° ≤ 2θ ≤ 90°), sorted by position:
- d 4.176, 2θ = 21.28°, rel. 21
- d 3.132, 2θ = 28.50°, rel. 50
- d 2.673, 2θ = 33.52°, rel. 100
- d 2.507, 2θ = 35.81°, rel. 97
- d 2.289, 2θ = 39.37°, rel. 30
- d 1.848, 2θ = 49.31°, rel. 35
- d 1.660, 2θ = 55.35°, rel. 37
- d 1.580, 2θ = 58.42°, rel. 30
- d 1.410, 2θ = 66.26°, rel. 27
- d 1.360, 2θ = 69.07°, rel. 15

=====

Simulated X-ray powder pattern
Compound: La2TmMg3Pt2Au
Radiation: a wavelength of 1.5418 Å
Structure: a structure optimized by DFT (GGA-PBE)
Lines closer than 0.1° are merged.

Structural model:
```
La2TmMg3Pt2Au
1.0
4.1212 0.0000 0.0000
0.0000 6.5674 3.7916
0.0000 -6.5674 3.7916
La Tm Mg Pt Au
2 1 3 2 1
Direct
0.0000 0.2103 0.7897
0.0000 0.7897 0.2103
0.0000 0.6245 0.6245
0.5000 0.2169 0.4566
0.5000 0.4566 0.2169
0.5000 0.9590 0.9590
0.5000 0.5462 0.8638
0.5000 0.8638 0.5462
0.0000 0.2194 0.2194
```

The 10 most intense peaks (10° ≤ 2θ ≤ 90°), sorted by position:
- d 3.792, 2θ = 23.46°, rel. 50
- d 3.491, 2θ = 25.52°, rel. 28
- d 2.790, 2θ = 32.08°, rel. 54
- d 2.568, 2θ = 34.94°, rel. 100
- d 2.189, 2θ = 41.24°, rel. 33
- d 2.126, 2θ = 42.52°, rel. 36
- d 2.061, 2θ = 43.94°, rel. 21
- d 1.666, 2θ = 55.13°, rel. 17
- d 1.500, 2θ = 61.83°, rel. 20
- d 1.415, 2θ = 66.02°, rel. 24

=====

Simulated X-ray powder pattern
Compound: GaPd7
Radiation: a wavelength of 1.5418 Å
Structure: a structure optimized by DFT (GGA-PBE)
Lines closer than 0.1° are merged.

Structural model:
```
GaPd7
1.0
2.8000 0.0000 0.0000
0.0000 3.9213 0.0000
0.0000 0.0000 35.4574
Ga Pd
2 14
Direct
0.2500 0.2500 0.2102
0.7500 0.7500 0.7898
0.2500 0.2500 0.2816
0.2500 0.2500 0.3614
0.2500 0.2500 0.4407
0.2500 0.2500 0.5197
0.2500 0.2500 0.5991
0.2500 0.2500 0.6792
0.2500 0.2500 0.7647
0.7500 0.7500 0.2353
0.7500 0.7500 0.3208
0.7500 0.7500 0.4009
0.7500 0.7500 0.4803
0.7500 0.7500 0.5593
0.7500 0.7500 0.6386
0.7500 0.7500 0.7184
```

The 10 most intense peaks (10° ≤ 2θ ≤ 90°), sorted by position:
- d 2.360, 2θ = 38.14°, rel. 69
- d 2.279, 2θ = 39.55°, rel. 100
- d 2.274, 2θ = 39.63°, rel. 47
- d 2.239, 2θ = 40.28°, rel. 73
- d 2.032, 2θ = 44.58°, rel. 44
- d 1.960, 2θ = 46.33°, rel. 47
- d 1.954, 2θ = 46.48°, rel. 47
- d 1.411, 2θ = 66.23°, rel. 26
- d 1.384, 2θ = 67.70°, rel. 30
- d 1.204, 2θ = 79.62°, rel. 34

=====

Simulated X-ray powder pattern
Compound: Pr2CuSi2Pd
Radiation: a wavelength of 1.5418 Å
Structure: a structure optimized by DFT (GGA-PBE)
Lines closer than 0.1° are merged.

Structural model:
```
Pr2CuSi2Pd
1.0
4.2306 0.0000 0.0000
-2.1153 3.6638 0.0000
0.0000 0.0000 8.4526
Pr Cu Si Pd
2 1 2 1
Direct
0.0000 0.0000 0.2490
0.0000 0.0000 0.7510
0.3333 0.6667 0.0000
0.3333 0.6667 0.5000
0.6667 0.3333 0.0000
0.6667 0.3333 0.5000
```

The 10 most intense peaks (10° ≤ 2θ ≤ 90°), sorted by position:
- d 3.664, 2θ = 24.29°, rel. 18
- d 3.362, 2θ = 26.52°, rel. 12
- d 2.768, 2θ = 32.34°, rel. 100
- d 2.115, 2θ = 42.76°, rel. 51
- d 1.831, 2θ = 49.80°, rel. 8
- d 1.681, 2θ = 54.60°, rel. 22
- d 1.495, 2θ = 62.08°, rel. 25
- d 1.316, 2θ = 71.74°, rel. 29
- d 1.221, 2θ = 78.28°, rel. 6
- d 1.117, 2θ = 87.31°, rel. 6

=====

Simulated X-ray powder pattern
Compound: Dy5Sn11
Radiation: a wavelength of 1.5418 Å
Structure: a structure optimized by DFT (GGA-PBE)
Lines closer than 0.1° are merged.

Structural model:
```
Dy5Sn11
1.0
-2.1863 2.2206 21.3672
2.1863 -2.2206 21.3672
2.1863 2.2206 -21.3672
Dy Sn
5 11
Direct
0.0000 0.0000 0.0000
0.3076 0.8076 0.5000
0.3825 0.3825 0.0000
0.6175 0.6175 0.0000
0.6924 0.1924 0.5000
0.0603 0.5603 0.5000
0.1315 0.1315 0.0000
0.1798 0.6798 0.5000
0.2497 0.2497 0.0000
0.4400 0.9400 0.5000
0.5000 0.5000 0.0000
0.5600 0.0600 0.5000
0.7503 0.7503 0.0000
0.8202 0.3202 0.5000
0.8685 0.8685 0.0000
0.9397 0.4397 0.5000
```

The 10 most intense peaks (10° ≤ 2θ ≤ 90°), sorted by position:
- d 2.691, 2θ = 33.29°, rel. 100
- d 2.671, 2θ = 33.55°, rel. 20
- d 2.221, 2θ = 40.63°, rel. 16
- d 2.186, 2θ = 41.30°, rel. 15
- d 1.708, 2θ = 53.68°, rel. 11
- d 1.692, 2θ = 54.22°, rel. 11
- d 1.558, 2θ = 59.32°, rel. 10
- d 1.546, 2θ = 59.82°, rel. 11
- d 1.356, 2θ = 69.28°, rel. 13
- d 1.341, 2θ = 70.21°, rel. 12

=====

Simulated X-ray powder pattern
Compound: Nd3Sm3CoTe2
Radiation: a wavelength of 1.5418 Å
Structure: a structure optimized by DFT (GGA-PBE)
Lines closer than 0.1° are merged.

Structural model:
```
Nd3Sm3CoTe2
1.0
8.6045 0.0000 0.0000
-4.3022 7.4517 0.0000
0.0000 0.0000 3.9854
Nd Sm Co Te
3 3 1 2
Direct
0.0000 0.5896 0.0000
0.4104 0.4104 0.0000
0.5896 0.0000 0.0000
0.0000 0.2350 0.5000
0.2350 0.0000 0.5000
0.7650 0.7650 0.5000
0.0000 0.0000 0.0000
0.3333 0.6667 0.5000
0.6667 0.3333 0.5000
```

The 10 most intense peaks (10° ≤ 2θ ≤ 90°), sorted by position:
- d 2.924, 2θ = 30.58°, rel. 100
- d 2.816, 2θ = 31.77°, rel. 85
- d 2.722, 2θ = 32.91°, rel. 80
- d 2.484, 2θ = 36.16°, rel. 27
- d 2.300, 2θ = 39.17°, rel. 32
- d 1.993, 2θ = 45.52°, rel. 21
- d 1.835, 2θ = 49.69°, rel. 24
- d 1.627, 2θ = 56.58°, rel. 43
- d 1.571, 2θ = 58.77°, rel. 30
- d 1.506, 2θ = 61.60°, rel. 18

=====

Simulated X-ray powder pattern
Compound: CsPbAuSe2S
Radiation: a wavelength of 1.5418 Å
Structure: a structure optimized by DFT (GGA-PBE)
Lines closer than 0.1° are merged.

Structural model:
```
CsPbAuSe2S
1.0
2.2784 -6.9914 0.0000
2.2784 6.9914 0.0000
0.0000 0.0000 11.7674
Cs Pb Au Se S
2 2 2 4 2
Direct
0.2141 0.7859 0.7500
0.7859 0.2141 0.2500
0.5000 0.5000 0.0000
0.5000 0.5000 0.5000
0.0731 0.9269 0.2500
0.9269 0.0731 0.7500
0.1380 0.8620 0.0453
0.1380 0.8620 0.4547
0.8620 0.1380 0.5453
0.8620 0.1380 0.9547
0.4976 0.5024 0.7500
0.5024 0.4976 0.2500
```

The 10 most intense peaks (10° ≤ 2θ ≤ 90°), sorted by position:
- d 6.991, 2θ = 12.66°, rel. 65
- d 6.011, 2θ = 14.74°, rel. 44
- d 3.489, 2θ = 25.53°, rel. 100
- d 3.351, 2θ = 26.60°, rel. 42
- d 3.258, 2θ = 27.37°, rel. 87
- d 3.140, 2θ = 28.42°, rel. 90
- d 2.942, 2θ = 30.38°, rel. 76
- d 2.850, 2θ = 31.38°, rel. 41
- d 2.278, 2θ = 39.55°, rel. 49
- d 2.167, 2θ = 41.69°, rel. 40